Starting from the PBE geometry in Alexandria, the powder diffraction line list of BaTiAlCuO5 was calculated for Cu Kα.

Peak list (10 most intense, 10° ≤ 2θ ≤ 80°, most intense first)
(1 0 2), 2θ = 32.86°, rel. 100.0; (1 0 1), 2θ = 25.96°, rel. 48.8; (1 1 0), 2θ = 33.12°, rel. 43.5; (2 0 0), 2θ = 47.54°, rel. 37.2; (2 1 2), 2θ = 59.00°, rel. 35.7; (0 0 3), 2θ = 34.65°, rel. 25.3; (1 1 1), 2θ = 35.13°, rel. 22.8; (0 0 1), 2θ = 11.39°, rel. 20.7; (2 0 3), 2θ = 60.15°, rel. 17.6; (1 1 3), 2θ = 48.68°, rel. 13.9

Structural model:
```
data_BaTiAlCuO5
_space_group_name_H-M_alt 'P 4 m m'
_space_group_IT_number 99
_cell_length_a 3.825
_cell_length_b 3.825
_cell_length_c 7.767
_cell_angle_alpha 90.00
_cell_angle_beta 90.00
_cell_angle_gamma 90.00
loop_
_space_group_symop_operation_xyz
'x,y,z'
'-y,x,z'
'-x,-y,z'
'y,-x,z'
'-x,y,z'
'y,x,z'
'x,-y,z'
'-y,-x,z'
loop_
_atom_site_label
_atom_site_type_symbol
_atom_site_fract_x
_atom_site_fract_y
_atom_site_fract_z
_atom_site_occupancy
Ba1 Ba 0.000 0.000 0.000 1
Ti1 Ti 0.500 0.500 0.675 1
Al1 Al 0.000 0.000 0.433 1
Cu1 Cu 0.500 0.500 0.271 1
O1 O 0.000 0.500 0.291 1
O2 O 0.000 0.500 0.616 1
O3 O 0.500 0.500 0.909 1
```


Starting from the PBE geometry in Alexandria, the powder diffraction line list of TbHo3Hg4 was calculated for Cu Kα.

Peak list (10 most intense, 10° ≤ 2θ ≤ 80°, most intense first)
(1 1 2), 2θ = 34.06°, rel. 100.0; (2 0 0), 2θ = 34.30°, rel. 49.1; (3 1 2), 2θ = 61.27°, rel. 37.5; (2 0 4), 2θ = 60.81°, rel. 19.1; (2 2 0), 2θ = 49.29°, rel. 17.9; (2 2 4), 2θ = 71.71°, rel. 11.8; (0 0 4), 2θ = 48.58°, rel. 9.3; (4 0 0), 2θ = 72.28°, rel. 5.8; (1 1 0), 2θ = 24.07°, rel. 1.3; (2 0 2), 2θ = 42.14°, rel. 0.7

Structural model:
```
data_TbHo3Hg4
_space_group_name_H-M_alt 'P 4/m m m'
_space_group_IT_number 123
_space_group_name_Hall '-P 4 2'
_cell_length_a 5.229
_cell_length_b 5.229
_cell_length_c 7.497
_cell_angle_alpha 90.00
_cell_angle_beta 90.00
_cell_angle_gamma 90.00
loop_
_atom_site_label
_atom_site_type_symbol
_atom_site_fract_x
_atom_site_fract_y
_atom_site_fract_z
_atom_site_occupancy
Tb1 Tb 0.000 0.000 0.000 1
Ho1 Ho 0.000 0.000 0.500 1
Ho2 Ho 0.500 0.500 0.000 1
Ho3 Ho 0.500 0.500 0.500 1
Hg1 Hg 0.000 0.500 0.252 1
```


Starting from the PBE geometry in Alexandria, the powder diffraction line list of BaTl2O2 was calculated for Cu Kα.

Peak list (10 most intense, 10° ≤ 2θ ≤ 80°, most intense first)
(0 1 5), 2θ = 31.20°, rel. 100.0; (1 0 4), 2θ = 29.66°, rel. 97.3; (0 0 9), 2θ = 28.62°, rel. 49.3; (1 1 0), 2θ = 47.21°, rel. 49.3; (1 1 9), 2θ = 56.14°, rel. 47.3; (0 1 2), 2θ = 27.49°, rel. 38.5; (1 0 13), 2θ = 50.35°, rel. 33.0; (0 1 8), 2θ = 37.20°, rel. 21.8; (1 1 18), 2θ = 79.02°, rel. 20.8; (1 0 1), 2θ = 26.92°, rel. 20.3

Structural model:
```
data_BaTl2O2
_space_group_name_H-M_alt 'R -3 m'
_space_group_IT_number 166
_space_group_name_Hall '-R 3 2"'
_cell_length_a 3.8506
_cell_length_b 3.8506
_cell_length_c 28.0686
_cell_angle_alpha 90.00
_cell_angle_beta 90.00
_cell_angle_gamma 120.00
loop_
_atom_site_label
_atom_site_type_symbol
_atom_site_fract_x
_atom_site_fract_y
_atom_site_fract_z
_atom_site_occupancy
Ba1 Ba 0.0000 0.0000 0.0000 1
Tl1 Tl 0.0000 0.0000 0.2244 1
O1 O 0.0000 0.0000 0.3894 1
```


Starting from the PBE geometry in Alexandria, the powder diffraction line list of BaV3H was calculated for Cu Kα.

Peak list (10 most intense, 10° ≤ 2θ ≤ 80°, most intense first)
(1 1 1), 2θ = 36.68°, rel. 100.0; (2 0 0), 2θ = 42.61°, rel. 49.1; (3 1 1), 2θ = 74.10°, rel. 34.8; (2 2 0), 2θ = 61.84°, rel. 30.5; (1 0 0), 2θ = 20.93°, rel. 24.0; (1 1 0), 2θ = 29.78°, rel. 22.6; (2 1 0), 2θ = 47.94°, rel. 11.8; (2 2 2), 2θ = 78.00°, rel. 10.1; (2 1 1), 2θ = 52.85°, rel. 9.4; (3 0 0), 2θ = 66.05°, rel. 6.1

Structural model:
```
data_BaV3H
_space_group_name_H-M_alt 'P m -3 m'
_space_group_IT_number 221
_space_group_name_Hall '-P 4 2 3'
_cell_length_a 4.243
_cell_length_b 4.243
_cell_length_c 4.243
_cell_angle_alpha 90.00
_cell_angle_beta 90.00
_cell_angle_gamma 90.00
loop_
_atom_site_label
_atom_site_type_symbol
_atom_site_fract_x
_atom_site_fract_y
_atom_site_fract_z
_atom_site_occupancy
Ba1 Ba 0.000 0.000 0.000 1
V1 V 0.000 0.500 0.500 1
H1 H 0.500 0.500 0.500 1
```


Starting from the PBE geometry in Alexandria, the powder diffraction line list of Cd4Pb5 was calculated for Cu Kα.

Peak list (10 most intense, 10° ≤ 2θ ≤ 80°, most intense first)
(3 0 1), 2θ = 34.08°, rel. 100.0; (3 3 0), 2θ = 31.17°, rel. 62.7; (6 3 1), 2θ = 57.35°, rel. 44.0; (6 0 0), 2θ = 44.66°, rel. 23.2; (3 3 2), 2θ = 62.79°, rel. 17.1; (6 0 2), 2θ = 71.76°, rel. 11.5; (9 3 0), 2θ = 73.85°, rel. 10.2; (9 0 1), 2θ = 75.48°, rel. 9.7; (6 6 0), 2θ = 65.00°, rel. 7.4; (0 0 2), 2θ = 53.01°, rel. 7.2

Structural model:
```
data_Cd4Pb5
_space_group_name_H-M_alt 'I 4/m m m'
_space_group_IT_number 139
_space_group_name_Hall '-I 4 2'
_cell_length_a 12.174
_cell_length_b 12.174
_cell_length_c 3.455
_cell_angle_alpha 90.00
_cell_angle_beta 90.00
_cell_angle_gamma 90.00
loop_
_atom_site_label
_atom_site_type_symbol
_atom_site_fract_x
_atom_site_fract_y
_atom_site_fract_z
_atom_site_occupancy
Cd1 Cd 0.000 0.345 0.000 1
Pb1 Pb 0.000 0.000 0.000 1
Pb2 Pb 0.167 0.167 0.500 1
```